# Sm2PPd8
Simulated X-ray powder pattern, CuKα. Input: DFT lattice parameters and positions (GGA-PBE).
Kinematic intensities with the Lorentz-polarization factor, no thermal factor.

Crystal structure
Cell: 4.3662 9.1043 9.1043 Å, 145.92 90.00 90.00°
Element x y z (fractional)
Sm 0.0000 0.1245 0.8755
Sm 0.0000 0.8755 0.1245
P 0.5000 0.2662 0.2662
Pd 0.0000 0.2993 0.7034
Pd 0.0000 0.4768 0.4768
Pd 0.0000 0.7034 0.2993
Pd 0.5000 0.0151 0.5317
Pd 0.5000 0.3741 0.5967
Pd 0.5000 0.5317 0.0151
Pd 0.5000 0.5967 0.3741
Pd 0.5000 0.8466 0.8466

Largest 6 diffraction maxima, low angle first, 2θ from 10° to 90°:
2θ (°), Rel. int.
30.63, 35
33.60, 18
37.07, 100
39.61, 54
41.36, 39
58.63, 20